# Dy19Y6Tm4
Computed XRD peak list, Cu Kα (weighted mean of Kα1 and Kα2). Input: a structure optimized by DFT (GGA-PBE).
Lines closer than 0.1° are merged.

Structural model:
a b c (Å): 12.4111 12.4111 12.4111
angles (deg): 90.00 90.00 90.00
Space group I23 (No. 197)
Unique sites:
Dy: 0.0000 0.0000 0.0000 (multiplicity 2)
Dy: 0.0000 0.0000 0.2594 (multiplicity 12)
Dy: 0.0643 0.2582 0.2773 (multiplicity 24)
Y: 0.0000 0.3702 0.5000 (multiplicity 12)
Tm: 0.1789 0.1789 0.8211 (multiplicity 8)

Largest 10 diffraction maxima, in order of falling intensity, 10 to 90 degrees two-theta:
| d_spacing | I/Imax | hkl |
| --- | --- | --- |
| 2.925 | 100 | 4 1 1 |
| 2.434 | 54 | 4 1 3 |
| 3.103 | 51 | 4 0 0 |
| 2.533 | 37 | 4 2 2 |
| 3.317 | 32 | 3 1 2 |
| 1.689 | 25 | 7 1 2 |
| 1.528 | 22 | 7 1 4 |
| 2.646 | 18 | 3 3 2 |
| 1.755 | 18 | 7 1 0 |
| 1.505 | 15 | 8 0 2 |